No. 1
The following is a theoretical PXRD pattern of La2PrSm5. It was derived from a cell relaxed with GGA-PBE, using CuKα.
Neutral-atom scattering factors, no anomalous dispersion.

Largest 10 diffraction maxima, most intense first, 2θ = 10–90°:
d_spacing	two_theta	I (rel.)
2.825	31.67	100
2.876	31.09	39
2.774	32.27	33
3.219	27.71	29
1.651	55.68	21
2.018	44.91	11
2.968	30.11	11
2.735	32.75	11
3.060	29.19	9
1.741	52.57	8

Atomic structure:
Lattice parameters (Å, degrees): 6.686 6.686 16.408 90.00 90.00 129.04
Fractional coordinates of all 16 atoms:
La: 0.219 0.781 0.629
La: 0.219 0.781 0.871
La: 0.781 0.219 0.129
La: 0.781 0.219 0.371
Pr: 0.259 0.741 0.250
Pr: 0.741 0.259 0.750
Sm: 0.079 0.921 0.089
Sm: 0.079 0.921 0.411
Sm: 0.383 0.617 0.051
Sm: 0.383 0.617 0.449
Sm: 0.462 0.538 0.750
Sm: 0.538 0.462 0.250
Sm: 0.617 0.383 0.551
Sm: 0.617 0.383 0.949
Sm: 0.921 0.079 0.589
Sm: 0.921 0.079 0.911

No. 2
The following is a theoretical PXRD pattern of NdHo2O. It was derived from a cell relaxed with GGA-PBE, using CuKα.
Neutral-atom scattering factors, no anomalous dispersion.

Largest 10 diffraction maxima, most intense first, 2θ = 10–90°:
d_spacing	two_theta	I (rel.)
2.988	29.90	100
2.289	39.37	82
3.139	28.43	48
2.411	37.30	39
1.735	52.76	36
1.519	61.01	34
2.940	30.41	24
1.523	60.84	20
1.454	64.02	17
2.059	43.99	17

Atomic structure:
Lattice parameters (Å, degrees): 9.629 9.629 9.629 20.76 20.76 20.76
Fractional coordinates of all 4 atoms:
Nd: 0.000 0.000 0.000
Ho: 0.120 0.120 0.120
Ho: 0.880 0.880 0.880
O: 0.500 0.500 0.500

No. 3
The following is a theoretical PXRD pattern of NdPu2O11. It was derived from a cell relaxed with GGA-PBE, using CuKα.
Neutral-atom scattering factors, no anomalous dispersion.

Largest 10 diffraction maxima, most intense first, 2θ = 10–90°:
d_spacing	two_theta	I (rel.)
3.718	23.94	100
3.262	27.34	71
3.330	26.77	69
5.403	16.41	51
2.080	43.50	42
2.030	44.64	39
5.123	17.31	31
4.161	21.35	29
2.792	32.05	24
1.838	49.59	23

Atomic structure:
Lattice parameters (Å, degrees): 8.563 8.563 8.563 101.76 106.51 120.80
Fractional coordinates of all 28 atoms:
Nd: 0.000 0.000 0.000
Nd: 0.000 0.500 0.500
Pu: 0.027 0.514 0.013
Pu: 0.492 0.464 0.528
Pu: 0.501 0.014 0.987
Pu: 0.936 0.964 0.472
O: 0.078 0.322 0.012
O: 0.078 0.566 0.256
O: 0.294 0.241 0.308
O: 0.294 0.486 0.553
O: 0.303 0.131 0.672
O: 0.310 0.066 0.988
O: 0.310 0.822 0.744
O: 0.338 0.770 0.068
O: 0.458 0.631 0.328
O: 0.483 0.273 0.710
O: 0.564 0.773 0.290
O: 0.687 0.205 0.227
O: 0.687 0.438 0.505
O: 0.687 0.681 0.749
O: 0.687 0.960 0.982
O: 0.702 0.270 0.932
O: 0.932 0.181 0.495
O: 0.932 0.938 0.251
O: 0.933 0.741 0.447
O: 0.933 0.986 0.692
O: 0.977 0.460 0.773
O: 0.977 0.705 0.018

No. 4
The following is a theoretical PXRD pattern of SmThOsSe. It was derived from a cell relaxed with GGA-PBE, using CuKα.
Neutral-atom scattering factors, no anomalous dispersion.

Largest 10 diffraction maxima, most intense first, 2θ = 10–90°:
d_spacing	two_theta	I (rel.)
2.759	32.45	100
2.055	44.07	50
3.384	26.34	47
7.279	12.16	37
2.346	38.37	33
1.861	48.93	23
1.648	55.78	22
1.286	73.68	19
1.362	68.92	16
1.145	84.60	10

Atomic structure:
Lattice parameters (Å, degrees): 7.656 7.656 7.656 31.14 31.14 31.14
Fractional coordinates of all 4 atoms:
Sm: 0.000 0.000 0.000
Th: 0.189 0.189 0.189
Os: 0.590 0.590 0.590
Se: 0.759 0.759 0.759

No. 5
The following is a theoretical PXRD pattern of Er12Tl5Ir2. It was derived from a cell relaxed with GGA-PBE, using CuKα.
Neutral-atom scattering factors, no anomalous dispersion.

Largest 10 diffraction maxima, most intense first, 2θ = 10–90°:
d_spacing	two_theta	I (rel.)
2.705	33.12	100
2.917	30.65	97
2.935	30.46	93
2.400	37.47	86
4.055	21.92	75
2.769	32.33	66
4.403	20.17	59
1.893	48.05	58
2.177	41.48	58
2.623	34.18	41

Atomic structure:
Lattice parameters (Å, degrees): 9.222 9.222 9.605 103.79 103.79 48.50
Fractional coordinates of all 19 atoms:
Er: 0.004 0.004 0.242
Er: 0.076 0.597 0.908
Er: 0.101 0.601 0.428
Er: 0.399 0.899 0.572
Er: 0.403 0.924 0.092
Er: 0.488 0.488 0.172
Er: 0.512 0.512 0.828
Er: 0.597 0.076 0.908
Er: 0.601 0.101 0.428
Er: 0.899 0.399 0.572
Er: 0.924 0.403 0.092
Er: 0.996 0.996 0.758
Tl: 0.190 0.190 0.838
Tl: 0.200 0.200 0.362
Tl: 0.500 0.500 0.500
Tl: 0.800 0.800 0.638
Tl: 0.810 0.810 0.162
Ir: 0.211 0.789 0.000
Ir: 0.789 0.211 0.000

No. 6
The following is a theoretical PXRD pattern of TbPm4Nd7. It was derived from a cell relaxed with GGA-PBE, using CuKα.
Neutral-atom scattering factors, no anomalous dispersion.

Largest 10 diffraction maxima, most intense first, 2θ = 10–90°:
d_spacing	two_theta	I (rel.)
2.879	31.07	100
2.739	32.69	57
2.957	30.23	50
1.564	59.05	45
1.843	49.44	38
3.170	28.15	36
2.736	32.73	28
1.723	53.15	23
1.633	56.33	18
1.552	59.55	16

Atomic structure:
Lattice parameters (Å, degrees): 6.382 7.378 9.124 89.95 76.47 89.98
Fractional coordinates of all 12 atoms:
Tb: 0.000 0.000 0.000
Pm: 0.223 0.500 0.333
Pm: 0.277 0.250 0.669
Pm: 0.723 0.750 0.331
Pm: 0.777 0.500 0.667
Nd: 0.000 0.500 0.000
Nd: 0.222 0.000 0.332
Nd: 0.278 0.750 0.669
Nd: 0.500 0.249 0.000
Nd: 0.500 0.751 0.000
Nd: 0.722 0.250 0.331
Nd: 0.778 0.000 0.668

No. 7
The following is a theoretical PXRD pattern of BaEuBi. It was derived from a cell relaxed with GGA-PBE, using CuKα.
Neutral-atom scattering factors, no anomalous dispersion.

Largest 10 diffraction maxima, most intense first, 2θ = 10–90°:
d_spacing	two_theta	I (rel.)
2.887	30.98	100
1.667	55.10	40
4.714	18.82	39
2.462	36.49	23
1.091	89.90	22
2.041	44.37	19
1.291	73.32	17
1.444	64.56	12
1.873	48.60	11
1.571	58.76	8

Atomic structure:
Lattice parameters (Å, degrees): 5.774 5.774 5.774 60.00 60.00 60.00
Fractional coordinates of all 3 atoms:
Ba: 0.000 0.000 0.000
Eu: 0.500 0.500 0.500
Bi: 0.750 0.750 0.750

No. 8
The following is a theoretical PXRD pattern of Ac2ErC2I2. It was derived from a cell relaxed with GGA-PBE, using CuKα.
Neutral-atom scattering factors, no anomalous dispersion.

Largest 10 diffraction maxima, most intense first, 2θ = 10–90°:
d_spacing	two_theta	I (rel.)
2.929	30.52	100
3.280	27.19	82
1.818	50.17	51
2.319	38.82	36
2.332	38.61	26
1.645	55.91	18
1.467	63.41	16
1.218	78.54	14
1.640	56.07	12
1.431	65.19	12

Atomic structure:
Lattice parameters (Å, degrees): 9.995 9.995 9.995 153.16 153.16 38.32
Fractional coordinates of all 7 atoms:
Ac: 0.089 0.089 0.000
Ac: 0.911 0.911 0.000
Er: 0.500 0.500 0.000
C: 0.000 0.500 0.500
C: 0.500 0.000 0.500
I: 0.326 0.326 0.000
I: 0.674 0.674 0.000